(1)
PmHoPt: theoretical X-ray powder pattern (Cu Kα, 1.54184 Å), based on a structure optimized by DFT (PBE).
Lines closer than 0.1° are merged.

The 10 most intense peaks (10 to 80 degrees two-theta), sorted by position:
- 3.994 Å, I 64
- 3.071 Å, I 53
- 3.034 Å, I 43
- 2.874 Å, I 44
- 2.823 Å, I 52
- 2.778 Å, I 95
- 2.488 Å, I 100
- 2.447 Å, I 46
- 2.250 Å, I 45
- 2.037 Å, I 44

Structure:
a = 6.911 Å, b = 13.395 Å, c = 7.167 Å
α = 90.00°, β = 90.00°, γ = 90.00°
Fractional coordinates of all 24 atoms:
Pm 0.200 0.198 0.105
Pm 0.200 0.302 0.605
Pm 0.300 0.698 0.105
Pm 0.300 0.802 0.605
Pm 0.700 0.198 0.395
Pm 0.700 0.302 0.895
Pm 0.800 0.698 0.395
Pm 0.800 0.802 0.895
Ho 0.003 0.531 0.760
Ho 0.003 0.969 0.260
Ho 0.497 0.031 0.760
Ho 0.497 0.469 0.260
Ho 0.503 0.531 0.740
Ho 0.503 0.969 0.240
Ho 0.997 0.031 0.740
Ho 0.997 0.469 0.240
Pt 0.227 0.602 0.459
Pt 0.227 0.898 0.959
Pt 0.273 0.102 0.459
Pt 0.273 0.398 0.959
Pt 0.727 0.602 0.041
Pt 0.727 0.898 0.541
Pt 0.773 0.102 0.041
Pt 0.773 0.398 0.541

***

(2)
Mo4Ir5: theoretical X-ray powder pattern (Cu Kα, 1.54184 Å), based on a structure optimized by DFT (PBE).
Lines closer than 0.1° are merged.

The 10 most intense peaks (10 to 80 degrees two-theta), sorted by position:
- 6.594 Å, I 6
- 3.128 Å, I 16
- 2.745 Å, I 5
- 2.226 Å, I 96
- 2.198 Å, I 100
- 1.716 Å, I 8
- 1.564 Å, I 32
- 1.372 Å, I 7
- 1.274 Å, I 32
- 1.269 Å, I 17

Structure:
a = 7.614 Å, b = 7.614 Å, c = 5.489 Å
α = 90.00°, β = 90.00°, γ = 120.00°
Fractional coordinates of all 18 atoms:
Mo 0.000 0.000 0.000
Mo 0.000 0.000 0.500
Mo 0.000 0.329 0.250
Mo 0.000 0.671 0.750
Mo 0.329 0.000 0.250
Mo 0.329 0.329 0.750
Mo 0.671 0.000 0.750
Mo 0.671 0.671 0.250
Ir 0.000 0.335 0.750
Ir 0.000 0.665 0.250
Ir 0.333 0.667 0.000
Ir 0.333 0.667 0.500
Ir 0.335 0.000 0.750
Ir 0.335 0.335 0.250
Ir 0.665 0.000 0.250
Ir 0.665 0.665 0.750
Ir 0.667 0.333 0.000
Ir 0.667 0.333 0.500

***

(3)
ErScHgIr: theoretical X-ray powder pattern (Cu Kα, 1.54184 Å), based on a structure optimized by DFT (PBE).
Lines closer than 0.1° are merged.

The 10 most intense peaks (10 to 80 degrees two-theta), sorted by position:
- 3.987 Å, I 9
- 3.453 Å, I 11
- 2.442 Å, I 100
- 2.082 Å, I 5
- 1.993 Å, I 3
- 1.726 Å, I 18
- 1.584 Å, I 2
- 1.544 Å, I 5
- 1.410 Å, I 36
- 1.221 Å, I 11

Structure:
a = 4.883 Å, b = 4.883 Å, c = 4.883 Å
α = 60.00°, β = 60.00°, γ = 60.00°
Fractional coordinates of all 4 atoms:
Er 0.000 0.000 0.000
Sc 0.500 0.500 0.500
Hg 0.750 0.750 0.750
Ir 0.250 0.250 0.250

***

(4)
NpSc2Ag2S6: theoretical X-ray powder pattern (Cu Kα, 1.54184 Å), based on a structure optimized by DFT (PBE).
Lines closer than 0.1° are merged.

The 10 most intense peaks (10 to 80 degrees two-theta), sorted by position:
- 5.708 Å, I 100
- 4.309 Å, I 17
- 3.282 Å, I 18
- 2.981 Å, I 23
- 2.870 Å, I 76
- 2.639 Å, I 23
- 2.494 Å, I 36
- 2.150 Å, I 25
- 1.892 Å, I 20
- 1.873 Å, I 22

Structure:
a = 6.665 Å, b = 6.665 Å, c = 6.536 Å
α = 94.21°, β = 94.21°, γ = 120.30°
Fractional coordinates of all 11 atoms:
Np 0.000 0.000 0.000
Sc 0.336 0.664 0.000
Sc 0.664 0.336 0.000
Ag 0.128 0.872 0.500
Ag 0.872 0.128 0.500
S 0.029 0.375 0.217
S 0.307 0.307 0.779
S 0.375 0.029 0.217
S 0.625 0.971 0.783
S 0.693 0.693 0.221
S 0.971 0.625 0.783

***

(5)
Li4Cd3Ge: theoretical X-ray powder pattern (Cu Kα, 1.54184 Å), based on a structure optimized by DFT (PBE).
Lines closer than 0.1° are merged.

The 10 most intense peaks (10 to 80 degrees two-theta), sorted by position:
- 3.319 Å, I 100
- 3.263 Å, I 96
- 3.234 Å, I 93
- 2.327 Å, I 91
- 2.316 Å, I 90
- 2.297 Å, I 88
- 1.889 Å, I 78
- 1.345 Å, I 30
- 1.334 Å, I 29
- 1.328 Å, I 28

Structure:
a = 7.269 Å, b = 7.244 Å, c = 4.655 Å
α = 71.59°, β = 71.00°, γ = 37.41°
Fractional coordinates of all 8 atoms:
Li 0.119 0.119 0.381
Li 0.381 0.381 0.119
Li 0.619 0.619 0.881
Li 0.881 0.881 0.619
Cd 0.000 0.000 0.000
Cd 0.253 0.253 0.747
Cd 0.747 0.747 0.253
Ge 0.500 0.500 0.500

***

(6)
Al2V7H2: theoretical X-ray powder pattern (Cu Kα, 1.54184 Å), based on a structure optimized by DFT (PBE).
Lines closer than 0.1° are merged.

The 10 most intense peaks (10 to 80 degrees two-theta), sorted by position:
- 2.263 Å, I 100
- 2.223 Å, I 48
- 2.162 Å, I 37
- 2.126 Å, I 44
- 2.069 Å, I 32
- 1.573 Å, I 16
- 1.554 Å, I 8
- 1.502 Å, I 13
- 1.292 Å, I 29
- 1.271 Å, I 9

Structure:
a = 5.126 Å, b = 5.126 Å, c = 5.240 Å
α = 96.88°, β = 96.88°, γ = 100.60°
Fractional coordinates of all 11 atoms:
Al 0.165 0.835 0.000
Al 0.835 0.165 0.000
V 0.000 0.000 0.500
V 0.170 0.526 0.343
V 0.345 0.345 0.845
V 0.474 0.830 0.657
V 0.526 0.170 0.343
V 0.655 0.655 0.155
V 0.830 0.474 0.657
H 0.266 0.266 0.498
H 0.734 0.734 0.502

***

(7)
K2H3: theoretical X-ray powder pattern (Cu Kα, 1.54184 Å), based on a structure optimized by DFT (PBE).
Lines closer than 0.1° are merged.

The 10 most intense peaks (10 to 80 degrees two-theta), sorted by position:
- 3.729 Å, I 35
- 3.470 Å, I 100
- 2.760 Å, I 40
- 2.659 Å, I 32
- 2.218 Å, I 16
- 2.017 Å, I 13
- 1.952 Å, I 12
- 1.915 Å, I 21
- 1.701 Å, I 21
- 1.629 Å, I 12

Structure:
a = 8.530 Å, b = 8.530 Å, c = 8.530 Å
α = 142.25°, β = 142.25°, γ = 54.46°
Fractional coordinates of all 10 atoms:
K 0.000 0.000 0.000
K 0.170 0.670 0.500
K 0.420 0.420 0.000
K 0.750 0.250 0.500
H 0.235 0.235 0.000
H 0.274 0.848 0.427
H 0.421 0.848 0.573
H 0.598 0.524 0.927
H 0.598 0.671 0.073
H 0.985 0.485 0.500

***

(8)
Sm8Tl3: theoretical X-ray powder pattern (Cu Kα, 1.54184 Å), based on a structure optimized by DFT (PBE).
Lines closer than 0.1° are merged.

The 10 most intense peaks (10 to 80 degrees two-theta), sorted by position:
- 3.281 Å, I 23
- 3.248 Å, I 100
- 3.011 Å, I 40
- 2.974 Å, I 41
- 2.597 Å, I 15
- 2.218 Å, I 22
- 2.198 Å, I 50
- 2.188 Å, I 16
- 1.940 Å, I 21
- 1.640 Å, I 17

Structure:
a = 7.300 Å, b = 7.300 Å, c = 7.300 Å
α = 89.27°, β = 89.27°, γ = 89.27°
Fractional coordinates of all 11 atoms:
Sm 0.144 0.144 0.144
Sm 0.183 0.621 0.359
Sm 0.359 0.183 0.621
Sm 0.379 0.641 0.817
Sm 0.621 0.359 0.183
Sm 0.641 0.817 0.379
Sm 0.817 0.379 0.641
Sm 0.856 0.856 0.856
Tl 0.000 0.000 0.500
Tl 0.000 0.500 0.000
Tl 0.500 0.000 0.000

***

(9)
CsGaPb3: theoretical X-ray powder pattern (Cu Kα, 1.54184 Å), based on a structure optimized by DFT (PBE).
Lines closer than 0.1° are merged.

The 10 most intense peaks (10 to 80 degrees two-theta), sorted by position:
- 7.272 Å, I 43
- 4.247 Å, I 24
- 3.682 Å, I 23
- 3.262 Å, I 48
- 3.019 Å, I 100
- 3.004 Å, I 42
- 2.616 Å, I 21
- 2.461 Å, I 25
- 2.034 Å, I 27
- 1.778 Å, I 31

Structure:
a = 7.272 Å, b = 7.363 Å, c = 7.434 Å
α = 89.95°, β = 89.96°, γ = 89.97°
Fractional coordinates of all 10 atoms:
Cs 0.000 0.000 0.000
Cs 0.295 0.501 0.501
Ga 0.520 0.286 0.003
Ga 0.775 0.786 0.502
Pb 0.456 0.670 0.000
Pb 0.483 0.008 0.287
Pb 0.485 0.011 0.717
Pb 0.811 0.508 0.786
Pb 0.812 0.511 0.215
Pb 0.840 0.169 0.499

***

(10)
Cu8GePd2: theoretical X-ray powder pattern (Cu Kα, 1.54184 Å), based on a structure optimized by DFT (PBE).
Lines closer than 0.1° are merged.

The 10 most intense peaks (10 to 80 degrees two-theta), sorted by position:
- 3.220 Å, I 28
- 2.779 Å, I 13
- 2.222 Å, I 12
- 2.107 Å, I 100
- 2.065 Å, I 30
- 2.032 Å, I 39
- 1.798 Å, I 15
- 1.635 Å, I 15
- 1.264 Å, I 10
- 1.225 Å, I 9

Structure:
a = 6.511 Å, b = 6.511 Å, c = 4.463 Å
α = 101.84°, β = 101.84°, γ = 59.27°
Fractional coordinates of all 11 atoms:
Cu 0.120 0.749 0.707
Cu 0.138 0.138 0.844
Cu 0.251 0.880 0.293
Cu 0.261 0.261 0.415
Cu 0.739 0.739 0.585
Cu 0.749 0.120 0.707
Cu 0.862 0.862 0.156
Cu 0.880 0.251 0.293
Ge 0.500 0.500 0.500
Pd 0.372 0.372 0.981
Pd 0.628 0.628 0.019

***

(11)
CaDyHo4Se8: theoretical X-ray powder pattern (Cu Kα, 1.54184 Å), based on a structure optimized by DFT (PBE).
Lines closer than 0.1° are merged.

The 10 most intense peaks (10 to 80 degrees two-theta), sorted by position:
- 6.883 Å, I 36
- 3.594 Å, I 85
- 2.980 Å, I 71
- 2.294 Å, I 48
- 2.107 Å, I 100
- 1.721 Å, I 18
- 1.552 Å, I 20
- 1.490 Å, I 16
- 1.333 Å, I 21
- 1.217 Å, I 31

Structure:
a = 8.433 Å, b = 8.433 Å, c = 8.433 Å
α = 59.95°, β = 59.95°, γ = 59.95°
Fractional coordinates of all 14 atoms:
Ca 0.000 0.000 0.000
Dy 0.627 0.627 0.627
Ho 0.119 0.627 0.627
Ho 0.250 0.250 0.250
Ho 0.627 0.119 0.627
Ho 0.627 0.627 0.119
Se 0.382 0.382 0.852
Se 0.382 0.852 0.382
Se 0.383 0.383 0.383
Se 0.405 0.866 0.866
Se 0.852 0.382 0.382
Se 0.865 0.865 0.865
Se 0.866 0.405 0.866
Se 0.866 0.866 0.405

***

(12)
Er3Al2Ni6H7: theoretical X-ray powder pattern (Cu Kα, 1.54184 Å), based on a structure optimized by DFT (PBE).
Lines closer than 0.1° are merged.

The 10 most intense peaks (10 to 80 degrees two-theta), sorted by position:
- 3.715 Å, I 20
- 3.217 Å, I 18
- 2.877 Å, I 38
- 2.627 Å, I 35
- 2.432 Å, I 36
- 2.275 Å, I 26
- 2.145 Å, I 100
- 1.476 Å, I 23
- 1.372 Å, I 22
- 1.238 Å, I 20

Structure:
a = 7.880 Å, b = 7.880 Å, c = 7.880 Å
α = 109.47°, β = 109.47°, γ = 109.47°
Fractional coordinates of all 36 atoms:
Er 0.000 0.281 0.281
Er 0.000 0.719 0.719
Er 0.281 0.000 0.281
Er 0.281 0.281 0.000
Er 0.719 0.000 0.719
Er 0.719 0.719 0.000
Al 0.000 0.000 0.500
Al 0.000 0.500 0.000
Al 0.500 0.000 0.000
Al 0.500 0.500 0.500
Ni 0.000 0.333 0.667
Ni 0.000 0.667 0.333
Ni 0.333 0.000 0.667
Ni 0.333 0.333 0.666
Ni 0.333 0.666 0.333
Ni 0.333 0.667 0.000
Ni 0.334 0.667 0.667
Ni 0.666 0.333 0.333
Ni 0.667 0.000 0.333
Ni 0.667 0.333 0.000
Ni 0.667 0.334 0.667
Ni 0.667 0.667 0.334
H 0.000 0.000 0.247
H 0.000 0.000 0.753
H 0.000 0.247 0.000
H 0.000 0.753 0.000
H 0.247 0.000 0.000
H 0.247 0.247 0.247
H 0.250 0.500 0.750
H 0.250 0.750 0.500
H 0.500 0.250 0.750
H 0.500 0.750 0.250
H 0.750 0.250 0.500
H 0.750 0.500 0.250
H 0.753 0.000 0.000
H 0.753 0.753 0.753

***

Repeat the second record exactly.
Mo4Ir5: theoretical X-ray powder pattern (Cu Kα, 1.54184 Å), based on a structure optimized by DFT (PBE).
Lines closer than 0.1° are merged.

The 10 most intense peaks (10 to 80 degrees two-theta), sorted by position:
- 6.594 Å, I 6
- 3.128 Å, I 16
- 2.745 Å, I 5
- 2.226 Å, I 96
- 2.198 Å, I 100
- 1.716 Å, I 8
- 1.564 Å, I 32
- 1.372 Å, I 7
- 1.274 Å, I 32
- 1.269 Å, I 17

Structure:
a = 7.614 Å, b = 7.614 Å, c = 5.489 Å
α = 90.00°, β = 90.00°, γ = 120.00°
Fractional coordinates of all 18 atoms:
Mo 0.000 0.000 0.000
Mo 0.000 0.000 0.500
Mo 0.000 0.329 0.250
Mo 0.000 0.671 0.750
Mo 0.329 0.000 0.250
Mo 0.329 0.329 0.750
Mo 0.671 0.000 0.750
Mo 0.671 0.671 0.250
Ir 0.000 0.335 0.750
Ir 0.000 0.665 0.250
Ir 0.333 0.667 0.000
Ir 0.333 0.667 0.500
Ir 0.335 0.000 0.750
Ir 0.335 0.335 0.250
Ir 0.665 0.000 0.250
Ir 0.665 0.665 0.750
Ir 0.667 0.333 0.000
Ir 0.667 0.333 0.500